Computed XRD peak list
Compound: Cu3Ni2Pd6
Radiation: Cu Kα, 1.54184 Å
Structure: a DFT-relaxed cell (PBE, Alexandria)
Neutral-atom scattering factors, no anomalous dispersion.

The 10 most intense peaks (2θ = 10–90°), in order of falling intensity:
d = 2.211 Å, rel. 100.0, hkl -2 1 1
d = 2.204 Å, rel. 98.9, hkl 1 -1 2
d = 2.194 Å, rel. 95.9, hkl 1 2 -2
d = 2.187 Å, rel. 95.6, hkl 0 2 1
d = 1.925 Å, rel. 64.9, hkl 1 0 -3
d = 1.908 Å, rel. 61.8, hkl 1 -3 1
d = 1.881 Å, rel. 59.4, hkl 2 1 0
d = 1.355 Å, rel. 38.4, hkl -2 3 2
d = 1.348 Å, rel. 37.8, hkl 3 -2 1
d = 1.158 Å, rel. 22.8, hkl 0 1 -5

Crystal structure
a b c (Å): 4.663 6.004 6.083
angles (deg): 107.41 105.34 98.27
Space group P-1 (No. 2)
Unique sites:
Cu (0.000, 0.000, 0.000) (multiplicity 1)
Cu (0.365, 0.275, 0.457) (multiplicity 2)
Ni (0.457, 0.088, 0.823) (multiplicity 2)
Pd (0.104, 0.831, 0.363) (multiplicity 2)
Pd (0.186, 0.651, 0.730) (multiplicity 2)
Pd (0.278, 0.452, 0.095) (multiplicity 2)

Computed XRD peak list
Compound: Cu12NiPd3
Radiation: Cu Kα, 1.54184 Å
Structure: a DFT-relaxed cell (PBE, Alexandria)
Neutral-atom scattering factors, no anomalous dispersion.

The 10 most intense peaks (2θ = 10–90°), in order of falling intensity:
d = 2.129 Å, rel. 100.0, hkl 1 1 4
d = 1.849 Å, rel. 32.2, hkl 2 0 0
d = 1.114 Å, rel. 22.1, hkl 3 1 4
d = 1.302 Å, rel. 17.6, hkl 2 0 8
d = 1.835 Å, rel. 14.8, hkl 0 0 8
d = 1.108 Å, rel. 9.6, hkl 1 1 12
d = 1.307 Å, rel. 9.4, hkl 2 2 0
d = 3.697 Å, rel. 2.0, hkl 1 0 0
d = 2.605 Å, rel. 1.5, hkl 1 0 4
d = 2.306 Å, rel. 1.2, hkl 1 1 3

Crystal structure
a b c (Å): 3.697 3.697 14.683
angles (deg): 90.00 90.00 90.00
Space group P4/mmm (No. 123)
Unique sites:
Cu (0.000, 0.000, 0.000) (multiplicity 1)
Cu (0.000, 0.000, 0.245) (multiplicity 2)
Cu (0.000, 0.000, 0.500) (multiplicity 1)
Cu (0.000, 0.500, 0.117) (multiplicity 4)
Cu (0.000, 0.500, 0.372) (multiplicity 4)
Ni (0.500, 0.500, 0.000) (multiplicity 1)
Pd (0.500, 0.500, 0.245) (multiplicity 2)
Pd (0.500, 0.500, 0.500) (multiplicity 1)

Computed XRD peak list
Compound: CuNi8Pd2
Radiation: Cu Kα, 1.54184 Å
Structure: a DFT-relaxed cell (PBE, Alexandria)
Neutral-atom scattering factors, no anomalous dispersion.

The 10 most intense peaks (2θ = 10–90°), in order of falling intensity:
d = 2.091 Å, rel. 100.0, hkl -2 1 1
d = 1.816 Å, rel. 15.9, hkl 2 0 1
d = 1.812 Å, rel. 15.6, hkl 1 1 -3
d = 1.806 Å, rel. 15.3, hkl 1 -3 0
d = 1.279 Å, rel. 13.5, hkl 3 -3 1
d = 1.093 Å, rel. 11.0, hkl 4 -1 0
d = 1.281 Å, rel. 9.1, hkl 3 1 -2
d = 1.095 Å, rel. 5.6, hkl 3 -2 3
d = 1.092 Å, rel. 5.5, hkl 3 0 -4
d = 1.284 Å, rel. 4.6, hkl 1 -1 4

Crystal structure
a b c (Å): 4.437 5.713 5.734
angles (deg): 107.52 97.25 104.84
Space group P-1 (No. 2)
Unique sites:
Cu (0.000, 0.000, 0.000) (multiplicity 1)
Ni (0.085, 0.357, 0.810) (multiplicity 2)
Ni (0.181, 0.735, 0.637) (multiplicity 2)
Ni (0.269, 0.080, 0.457) (multiplicity 2)
Ni (0.450, 0.829, 0.095) (multiplicity 2)
Pd (0.363, 0.454, 0.264) (multiplicity 2)

Computed XRD peak list
Compound: Cu4NiPd3
Radiation: Cu Kα, 1.54184 Å
Structure: a DFT-relaxed cell (PBE, Alexandria)
Neutral-atom scattering factors, no anomalous dispersion.

The 10 most intense peaks (2θ = 10–90°), in order of falling intensity:
d = 2.104 Å, rel. 100.0, hkl 1 1 0
d = 1.215 Å, rel. 28.5, hkl 2 1 4
d = 1.489 Å, rel. 10.9, hkl 2 0 0
d = 1.486 Å, rel. 4.2, hkl 0 0 8
d = 2.975 Å, rel. 4.1, hkl 0 0 4
d = 2.380 Å, rel. 3.8, hkl 1 0 3
d = 1.322 Å, rel. 2.1, hkl 1 1 7
d = 1.119 Å, rel. 1.6, hkl 2 0 7
d = 1.698 Å, rel. 1.2, hkl 0 0 7
d = 1.718 Å, rel. 1.2, hkl 1 1 4

Crystal structure
a b c (Å): 2.977 2.977 11.887
angles (deg): 90.00 90.00 90.00
Space group P4/mmm (No. 123)
Unique sites:
Cu (0.000, 0.000, 0.109) (multiplicity 2)
Cu (0.000, 0.000, 0.370) (multiplicity 2)
Ni (0.500, 0.500, 0.000) (multiplicity 1)
Pd (0.500, 0.500, 0.239) (multiplicity 2)
Pd (0.500, 0.500, 0.500) (multiplicity 1)

Computed XRD peak list
Compound: Cu8NiPd2
Radiation: Cu Kα, 1.54184 Å
Structure: a DFT-relaxed cell (PBE, Alexandria)
Neutral-atom scattering factors, no anomalous dispersion.

The 10 most intense peaks (2θ = 10–90°), in order of falling intensity:
d = 2.088 Å, rel. 100.0, hkl 1 1 2
d = 2.094 Å, rel. 99.1, hkl 2 1 -2
d = 1.916 Å, rel. 38.1, hkl 1 0 -4
d = 1.774 Å, rel. 31.3, hkl 0 2 0
d = 1.756 Å, rel. 23.8, hkl 3 0 0
d = 1.301 Å, rel. 21.0, hkl 1 2 -4
d = 1.248 Å, rel. 14.0, hkl 3 2 0
d = 1.135 Å, rel. 11.2, hkl 0 1 6
d = 2.527 Å, rel. 10.9, hkl 0 1 2
d = 1.138 Å, rel. 10.7, hkl 3 1 -6

Crystal structure
a b c (Å): 5.613 3.548 7.662
angles (deg): 90.00 110.21 90.00
Space group P2/m (No. 10)
Unique sites:
Cu (0.005, 0.000, 0.229) (multiplicity 2)
Cu (0.322, 0.500, 0.836) (multiplicity 2)
Cu (0.342, 0.000, 0.086) (multiplicity 2)
Cu (0.342, 0.500, 0.329) (multiplicity 2)
Ni (0.000, 0.500, 0.000) (multiplicity 1)
Pd (0.284, 0.000, 0.571) (multiplicity 2)

Computed XRD peak list
Compound: Cu3Ni2Pd8
Radiation: Cu Kα, 1.54184 Å
Structure: a DFT-relaxed cell (PBE, Alexandria)
Neutral-atom scattering factors, no anomalous dispersion.

The 10 most intense peaks (2θ = 10–90°), in order of falling intensity:
d = 2.105 Å, rel. 100.0, hkl 2 4 1
d = 1.969 Å, rel. 24.5, hkl 0 0 2
d = 2.822 Å, rel. 24.3, hkl 2 0 1
d = 2.022 Å, rel. 22.8, hkl 4 0 0
d = 3.161 Å, rel. 14.2, hkl 0 4 0
d = 1.411 Å, rel. 13.8, hkl 4 0 2
d = 1.162 Å, rel. 13.6, hkl 2 4 3
d = 1.183 Å, rel. 13.5, hkl 6 4 1
d = 1.581 Å, rel. 7.9, hkl 0 8 0
d = 1.245 Å, rel. 7.3, hkl 4 8 0

Crystal structure
a b c (Å): 8.090 12.645 3.939
angles (deg): 90.00 90.00 90.00
Space group Cmmm (No. 65)
Unique sites:
Cu (0.000, 0.000, 0.000) (multiplicity 2)
Cu (0.230, 0.000, 0.500) (multiplicity 4)
Ni (0.000, 0.258, 0.000) (multiplicity 4)
Pd (0.000, 0.143, 0.500) (multiplicity 4)
Pd (0.000, 0.386, 0.500) (multiplicity 4)
Pd (0.250, 0.132, 0.000) (multiplicity 8)

Computed XRD peak list
Compound: Cu6NiPd8
Radiation: Cu Kα, 1.54184 Å
Structure: a DFT-relaxed cell (PBE, Alexandria)
Neutral-atom scattering factors, no anomalous dispersion.

The 10 most intense peaks (2θ = 10–90°), in order of falling intensity:
d = 2.082 Å, rel. 100.0, hkl 1 1 2
d = 2.065 Å, rel. 90.6, hkl 3 0 0
d = 2.932 Å, rel. 42.0, hkl 2 -1 1
d = 1.466 Å, rel. 30.6, hkl 4 -2 2
d = 1.195 Å, rel. 30.1, hkl 4 1 2
d = 3.576 Å, rel. 14.6, hkl 1 1 0
d = 1.192 Å, rel. 13.9, hkl 3 3 0
d = 1.206 Å, rel. 12.5, hkl 2 -1 4
d = 1.688 Å, rel. 8.3, hkl 2 2 1
d = 1.307 Å, rel. 7.2, hkl 5 -1 1

Crystal structure
a b c (Å): 7.1529 7.1529 5.1226
angles (deg): 90.00 90.00 120.00
Space group P-31m (No. 162)
Unique sites:
Cu (0.0000, 0.3225, 0.3535) (multiplicity 6)
Ni (0.0000, 0.0000, 0.5000) (multiplicity 1)
Pd (0.0000, 0.3360, 0.8536) (multiplicity 6)
Pd (0.3333, 0.6667, 0.5000) (multiplicity 2)

Computed XRD peak list
Compound: Cu3Ni4Pd12
Radiation: Cu Kα, 1.54184 Å
Structure: a DFT-relaxed cell (PBE, Alexandria)
Neutral-atom scattering factors, no anomalous dispersion.

The 10 most intense peaks (2θ = 10–90°), in order of falling intensity:
d = 6.451 Å, rel. 100.0, hkl 1 1 0
d = 2.040 Å, rel. 60.4, hkl 4 0 2
d = 1.862 Å, rel. 46.8, hkl 4 2 2
d = 2.438 Å, rel. 43.4, hkl 3 2 1
d = 2.281 Å, rel. 30.5, hkl 4 0 0
d = 1.219 Å, rel. 28.3, hkl 6 4 2
d = 2.885 Å, rel. 22.0, hkl 3 0 1
d = 3.725 Å, rel. 20.2, hkl 2 1 1
d = 1.789 Å, rel. 20.0, hkl 5 1 0
d = 2.150 Å, rel. 20.0, hkl 3 3 0

Crystal structure
a b c (Å): 9.124 9.124 9.124
angles (deg): 90.00 90.00 90.00
Space group Im-3 (No. 204)
Unique sites:
Cu (0.000, 0.000, 0.500) (multiplicity 6)
Ni (0.250, 0.250, 0.250) (multiplicity 8)
Pd (0.000, 0.351, 0.256) (multiplicity 24)

Copy entry 6 word for word.
Computed XRD peak list
Compound: Cu3Ni2Pd8
Radiation: Cu Kα, 1.54184 Å
Structure: a DFT-relaxed cell (PBE, Alexandria)
Neutral-atom scattering factors, no anomalous dispersion.

The 10 most intense peaks (2θ = 10–90°), in order of falling intensity:
d = 2.105 Å, rel. 100.0, hkl 2 4 1
d = 1.969 Å, rel. 24.5, hkl 0 0 2
d = 2.822 Å, rel. 24.3, hkl 2 0 1
d = 2.022 Å, rel. 22.8, hkl 4 0 0
d = 3.161 Å, rel. 14.2, hkl 0 4 0
d = 1.411 Å, rel. 13.8, hkl 4 0 2
d = 1.162 Å, rel. 13.6, hkl 2 4 3
d = 1.183 Å, rel. 13.5, hkl 6 4 1
d = 1.581 Å, rel. 7.9, hkl 0 8 0
d = 1.245 Å, rel. 7.3, hkl 4 8 0

Crystal structure
a b c (Å): 8.090 12.645 3.939
angles (deg): 90.00 90.00 90.00
Space group Cmmm (No. 65)
Unique sites:
Cu (0.000, 0.000, 0.000) (multiplicity 2)
Cu (0.230, 0.000, 0.500) (multiplicity 4)
Ni (0.000, 0.258, 0.000) (multiplicity 4)
Pd (0.000, 0.143, 0.500) (multiplicity 4)
Pd (0.000, 0.386, 0.500) (multiplicity 4)
Pd (0.250, 0.132, 0.000) (multiplicity 8)